# 1
This entry pairs a crystal structure of SbPtSe4 with its computed powder X-ray diffraction pattern. Radiation: λ = 1.5418 Å (Cu Kα). Structure: DFT lattice parameters and positions (GGA-PBE).

Largest 10 diffraction maxima, in order of rising 2θ, 10 to 90 degrees two-theta:
2θ = 14.26°, I = 73
2θ = 27.40°, I = 40
2θ = 33.23°, I = 100
2θ = 36.32°, I = 17
2θ = 43.66°, I = 18
2θ = 47.64°, I = 34
2θ = 47.76°, I = 35
2θ = 49.98°, I = 18
2θ = 59.31°, I = 17
2θ = 79.52°, I = 13

Cell and atoms:
Lattice parameters (Å, degrees): 6.5932 6.5932 6.6076 99.66 99.66 33.68
Element x y z (fractional)
Sb 0.0000 0.0000 0.0000
Pt 0.5000 0.5000 0.5000
Se 0.1152 0.1152 0.4020
Se 0.3742 0.3742 0.1547
Se 0.6258 0.6258 0.8453
Se 0.8848 0.8848 0.5980


# 2
This entry pairs a crystal structure of Nd2DyF11 with its computed powder X-ray diffraction pattern. Radiation: λ = 1.5418 Å (Cu Kα). Structure: DFT lattice parameters and positions (GGA-PBE).

Largest 10 diffraction maxima, in order of rising 2θ, 10 to 90 degrees two-theta:
2θ = 13.25°, I = 34
2θ = 20.55°, I = 100
2θ = 21.32°, I = 37
2θ = 23.15°, I = 78
2θ = 23.52°, I = 54
2θ = 25.84°, I = 30
2θ = 41.80°, I = 24
2θ = 42.41°, I = 28
2θ = 43.34°, I = 29
2θ = 43.65°, I = 44

Cell and atoms:
Lattice parameters (Å, degrees): 8.8501 8.8501 8.8501 121.18 107.57 100.39
Element x y z (fractional)
Nd 0.1907 0.1643 0.3550
Nd 0.3093 0.6643 0.9735
Nd 0.6907 0.3357 0.0265
Nd 0.8093 0.8357 0.6450
Dy 0.2500 0.7500 0.5000
Dy 0.7500 0.2500 0.5000
F 0.0000 0.0000 0.0000
F 0.0209 0.4521 0.7676
F 0.0616 0.8308 0.6232
F 0.1845 0.9521 0.4311
F 0.1877 0.8936 0.0813
F 0.2076 0.4384 0.3768
F 0.2924 0.6692 0.2308
F 0.3123 0.3936 0.7059
F 0.3155 0.7467 0.7676
F 0.4384 0.0616 0.7692
F 0.4791 0.2467 0.4311
F 0.5000 0.5000 0.0000
F 0.5209 0.7533 0.5689
F 0.5616 0.9384 0.2308
F 0.6845 0.2533 0.2324
F 0.6877 0.6064 0.2941
F 0.7076 0.3308 0.7692
F 0.7924 0.5616 0.6232
F 0.8123 0.1064 0.9187
F 0.8155 0.0479 0.5689
F 0.9384 0.1692 0.3768
F 0.9791 0.5479 0.2324


# 3
This entry pairs a crystal structure of Dy4Sb3 with its computed powder X-ray diffraction pattern. Radiation: λ = 1.5418 Å (Cu Kα). Structure: DFT lattice parameters and positions (GGA-PBE).

Largest 10 diffraction maxima, in order of rising 2θ, 10 to 90 degrees two-theta:
2θ = 30.77°, I = 100
2θ = 36.59°, I = 69
2θ = 44.07°, I = 9
2θ = 46.34°, I = 8
2θ = 48.53°, I = 19
2θ = 50.65°, I = 24
2θ = 62.28°, I = 25
2θ = 64.09°, I = 12
2θ = 65.87°, I = 15
2θ = 76.11°, I = 14

Cell and atoms:
Lattice parameters (Å, degrees): 7.9587 7.9587 7.9587 109.47 109.47 109.47
Element x y z (fractional)
Dy 0.0000 0.3552 0.5000
Dy 0.0000 0.8552 0.5000
Dy 0.1448 0.1448 0.1448
Dy 0.3552 0.5000 0.0000
Dy 0.5000 0.0000 0.3552
Dy 0.5000 0.0000 0.8552
Dy 0.6448 0.6448 0.6448
Dy 0.8552 0.5000 0.0000
Sb 0.1250 0.7500 0.8750
Sb 0.2500 0.6250 0.3750
Sb 0.3750 0.2500 0.6250
Sb 0.6250 0.3750 0.2500
Sb 0.7500 0.8750 0.1250
Sb 0.8750 0.1250 0.7500


# 4
This entry pairs a crystal structure of Na3YF6 with its computed powder X-ray diffraction pattern. Radiation: λ = 1.5418 Å (Cu Kα). Structure: DFT lattice parameters and positions (GGA-PBE).

Largest 10 diffraction maxima, in order of rising 2θ, 10 to 90 degrees two-theta:
2θ = 18.15°, I = 100
2θ = 18.62°, I = 24
2θ = 20.84°, I = 25
2θ = 21.27°, I = 49
2θ = 29.67°, I = 62
2θ = 30.23°, I = 51
2θ = 35.51°, I = 54
2θ = 43.33°, I = 41
2θ = 53.40°, I = 42
2θ = 54.47°, I = 22

Cell and atoms:
Lattice parameters (Å, degrees): 5.8520 5.9647 10.2172 90.00 123.45 90.00
Element x y z (fractional)
Na 0.0000 0.0000 0.0000
Na 0.0000 0.5000 0.5000
Na 0.2182 0.0481 0.7284
Na 0.2182 0.4519 0.2284
Na 0.7818 0.5481 0.7716
Na 0.7818 0.9519 0.2716
Y 0.5000 0.0000 0.5000
Y 0.5000 0.5000 0.0000
F 0.1341 0.1770 0.4505
F 0.1341 0.3230 0.9505
F 0.2320 0.7024 0.4070
F 0.2320 0.7976 0.9070
F 0.4012 0.0902 0.2655
F 0.4012 0.4098 0.7655
F 0.5988 0.5902 0.2345
F 0.5988 0.9098 0.7345
F 0.7680 0.2024 0.0930
F 0.7680 0.2976 0.5930
F 0.8659 0.6770 0.0495
F 0.8659 0.8230 0.5495